1.
Structure and simulated X-ray diffraction stick pattern of K3PF6 (a PBE-relaxed structure; Cu Kα (weighted mean of Kα1 and Kα2)).
Peak positions follow from Bragg's law for the DFT cell and can differ from measured ones.

Structure:
Lattice parameters (Å, degrees): 6.689 6.709 6.778 102.37 101.66 104.11
Positions (direct):
K 0.000 0.000 0.000
K 0.000 0.500 0.500
K 0.500 0.000 0.500
P 0.000 0.000 0.500
F 0.071 0.788 0.291
F 0.217 0.948 0.718
F 0.220 0.223 0.440
F 0.780 0.777 0.560
F 0.783 0.052 0.282
F 0.929 0.212 0.709

Principal peaks in the range 2θ from 15° to 90°, sorted by position:
Position (°2θ)  I/Imax
27.98  52
28.56  94
30.78  100
40.92  65
40.98  68
44.38  72
44.71  69
45.81  83

***

2.
Structure and simulated X-ray diffraction stick pattern of KPF6 (a PBE-relaxed structure; Cu Kα (weighted mean of Kα1 and Kα2)).
Peak positions follow from Bragg's law for the DFT cell and can differ from measured ones.

Structure:
Lattice parameters (Å, degrees): 7.822 7.822 7.822 90.00 90.00 90.00
Positions (direct):
K 0.000 0.000 0.000
K 0.000 0.500 0.500
K 0.500 0.000 0.500
K 0.500 0.500 0.000
P 0.000 0.000 0.500
P 0.000 0.500 0.000
P 0.500 0.000 0.000
P 0.500 0.500 0.500
F 0.068 0.121 0.657
F 0.068 0.379 0.157
F 0.121 0.657 0.068
F 0.121 0.843 0.568
F 0.157 0.068 0.379
F 0.157 0.432 0.879
F 0.343 0.568 0.379
F 0.343 0.932 0.879
F 0.379 0.157 0.068
F 0.379 0.343 0.568
F 0.432 0.621 0.657
F 0.432 0.879 0.157
F 0.568 0.121 0.843
F 0.568 0.379 0.343
F 0.621 0.657 0.432
F 0.621 0.843 0.932
F 0.657 0.068 0.121
F 0.657 0.432 0.621
F 0.843 0.568 0.121
F 0.843 0.932 0.621
F 0.879 0.157 0.432
F 0.879 0.343 0.932
F 0.932 0.621 0.843
F 0.932 0.879 0.343

Principal peaks in the range 2θ from 15° to 90°, sorted by position:
Position (°2θ)  I/Imax
19.66  33
22.74  100
32.37  40
34.39  15
38.16  25
39.93  18
52.30  16
57.74  22

***

3.
Structure and simulated X-ray diffraction stick pattern of K2PaF7 (a PBE-relaxed structure; Cu Kα (weighted mean of Kα1 and Kα2)).
Peak positions follow from Bragg's law for the DFT cell and can differ from measured ones.

Structure:
Lattice parameters (Å, degrees): 7.783 7.783 8.257 121.51 121.51 52.03
Positions (direct):
K 0.167 0.182 0.244
K 0.182 0.167 0.744
K 0.818 0.833 0.256
K 0.833 0.818 0.756
Pa 0.476 0.524 0.250
Pa 0.524 0.476 0.750
F 0.151 0.849 0.250
F 0.166 0.610 0.569
F 0.209 0.438 0.146
F 0.291 0.559 0.935
F 0.390 0.834 0.931
F 0.438 0.209 0.646
F 0.441 0.709 0.565
F 0.559 0.291 0.435
F 0.562 0.791 0.354
F 0.610 0.166 0.069
F 0.709 0.441 0.065
F 0.791 0.562 0.854
F 0.834 0.390 0.431
F 0.849 0.151 0.750

Principal peaks in the range 2θ from 15° to 90°, sorted by position:
Position (°2θ)  I/Imax
15.13  100
15.57  41
21.52  20
26.51  65
26.87  51
37.57  24
46.55  27
47.26  22

***

4.
Structure and simulated X-ray diffraction stick pattern of K3PdF6 (a PBE-relaxed structure; Cu Kα (weighted mean of Kα1 and Kα2)).
Peak positions follow from Bragg's law for the DFT cell and can differ from measured ones.

Structure:
Lattice parameters (Å, degrees): 6.414 6.414 6.414 60.00 60.00 60.00
Positions (direct):
K 0.000 0.000 0.000
K 0.250 0.250 0.250
K 0.750 0.750 0.750
Pd 0.500 0.500 0.500
F 0.274 0.274 0.726
F 0.274 0.726 0.274
F 0.274 0.726 0.726
F 0.726 0.274 0.274
F 0.726 0.274 0.726
F 0.726 0.726 0.274

Principal peaks in the range 2θ from 15° to 90°, sorted by position:
Position (°2θ)  I/Imax
16.93  42
19.57  38
27.82  100
39.75  56
49.21  36
57.48  32
65.03  18
79.00  19

***

5.
Structure and simulated X-ray diffraction stick pattern of KRb2PdF6 (a PBE-relaxed structure; Cu Kα (weighted mean of Kα1 and Kα2)).
Peak positions follow from Bragg's law for the DFT cell and can differ from measured ones.

Structure:
Lattice parameters (Å, degrees): 6.539 6.539 6.539 121.58 121.58 87.29
Positions (direct):
K 0.000 0.000 0.000
Rb 0.250 0.750 0.500
Rb 0.750 0.250 0.500
Pd 0.500 0.500 0.000
F 0.267 0.267 0.000
F 0.279 0.279 0.558
F 0.279 0.721 0.000
F 0.721 0.279 0.000
F 0.721 0.721 0.442
F 0.733 0.733 0.000

Principal peaks in the range 2θ from 15° to 90°, sorted by position:
Position (°2θ)  I/Imax
16.75  29
27.31  100
27.96  48
38.03  24
39.95  40
47.86  21
49.07  37
56.34  26

***

6.
Structure and simulated X-ray diffraction stick pattern of KRb2PdF6 (a PBE-relaxed structure; Cu Kα (weighted mean of Kα1 and Kα2)).
Peak positions follow from Bragg's law for the DFT cell and can differ from measured ones.

Structure:
Lattice parameters (Å, degrees): 6.479 6.479 6.479 60.00 60.00 60.00
Positions (direct):
K 0.000 0.000 0.000
Rb 0.250 0.250 0.250
Rb 0.750 0.750 0.750
Pd 0.500 0.500 0.500
F 0.275 0.275 0.725
F 0.275 0.725 0.275
F 0.275 0.725 0.725
F 0.725 0.275 0.275
F 0.725 0.275 0.725
F 0.725 0.725 0.275

Principal peaks in the range 2θ from 15° to 90°, sorted by position:
Position (°2θ)  I/Imax
16.76  20
27.53  100
33.89  9
39.33  43
48.69  39
56.84  26
64.30  19
78.05  21

***

- Which formula does entry 4 have?
  K3PdF6